[1]
Theoretical powder diffraction line list
Compound: Nd2InAg
Radiation: Cu Ka
Structure: a cell relaxed with PBE
Lines closer than 0.1° are merged.

Peak list (7 most intense, 5 to 70 degrees two-theta, sorted by position)
two_theta, intensity
23.05, 1.5
32.83, 100.0
40.50, 0.5
47.11, 18.0
53.08, 0.8
58.61, 37.0
68.83, 11.3

Cell and atoms:
Cell lengths 5.456, 5.456, 5.456 Å; angles 60.00, 60.00, 60.00 degrees
Positions (direct):
Nd 0.250 0.250 0.250
Nd 0.750 0.750 0.750
In 0.000 0.000 0.000
Ag 0.500 0.500 0.500

[2]
Theoretical powder diffraction line list
Compound: Zn3N2
Radiation: Cu Ka
Structure: a cell relaxed with PBE
Lines closer than 0.1° are merged.

Peak list (10 most intense, 5 to 70 degrees two-theta, sorted by position)
two_theta, intensity
31.22, 68.7
33.85, 88.1
37.88, 100.0
42.97, 62.9
45.26, 35.5
48.87, 27.4
53.84, 77.3
63.56, 7.4
65.13, 13.4
67.70, 17.1

Cell and atoms:
Cell lengths 12.021, 3.405, 5.900 Å; angles 90.00, 90.00, 90.00 degrees
Positions (direct):
Zn 0.077 0.250 0.090
Zn 0.081 0.750 0.576
Zn 0.247 0.250 0.751
Zn 0.253 0.750 0.251
Zn 0.419 0.250 0.076
Zn 0.423 0.750 0.590
Zn 0.577 0.250 0.410
Zn 0.581 0.750 0.924
Zn 0.747 0.250 0.749
Zn 0.753 0.750 0.249
Zn 0.919 0.250 0.424
Zn 0.923 0.750 0.910
N 0.002 0.250 0.747
N 0.247 0.250 0.084
N 0.253 0.750 0.584
N 0.498 0.750 0.247
N 0.502 0.250 0.753
N 0.747 0.250 0.416
N 0.753 0.750 0.916
N 0.998 0.750 0.253

[3]
Theoretical powder diffraction line list
Compound: MgH10Se2O10
Radiation: Cu Ka
Structure: a cell relaxed with PBE
Lines closer than 0.1° are merged.

Peak list (10 most intense, 5 to 70 degrees two-theta, sorted by position)
two_theta, intensity
13.83, 100.0
16.09, 25.3
19.65, 27.0
20.21, 22.5
24.09, 31.7
25.37, 28.0
26.24, 61.8
28.09, 22.9
31.97, 25.5
35.71, 22.2

Cell and atoms:
Cell lengths 8.331, 8.331, 11.199 Å; angles 122.97, 122.97, 54.64 degrees
Positions (direct):
Mg 0.035 0.965 0.750
Mg 0.965 0.035 0.250
H 0.052 0.588 0.778
H 0.249 0.627 0.169
H 0.256 0.398 0.944
H 0.258 0.286 0.024
H 0.286 0.258 0.524
H 0.320 0.561 0.667
H 0.373 0.751 0.331
H 0.398 0.256 0.444
H 0.412 0.948 0.722
H 0.439 0.680 0.833
H 0.561 0.320 0.167
H 0.588 0.052 0.278
H 0.602 0.744 0.556
H 0.627 0.249 0.669
H 0.680 0.439 0.333
H 0.714 0.742 0.476
H 0.742 0.714 0.976
H 0.744 0.602 0.056
H 0.751 0.373 0.831
H 0.948 0.412 0.222
Se 0.009 0.265 0.615
Se 0.265 0.009 0.115
Se 0.735 0.991 0.885
Se 0.991 0.735 0.385
O 0.067 0.157 0.188
O 0.109 0.179 0.482
O 0.144 0.435 0.770
O 0.157 0.067 0.688
O 0.179 0.109 0.982
O 0.233 0.767 0.250
O 0.302 0.698 0.750
O 0.311 0.382 0.043
O 0.382 0.311 0.543
O 0.435 0.144 0.270
O 0.565 0.856 0.730
O 0.618 0.689 0.457
O 0.689 0.618 0.957
O 0.698 0.302 0.250
O 0.767 0.233 0.750
O 0.821 0.891 0.018
O 0.843 0.933 0.312
O 0.856 0.565 0.230
O 0.891 0.821 0.518
O 0.933 0.843 0.812

[4]
Theoretical powder diffraction line list
Compound: TaCo2
Radiation: Cu Ka
Structure: a cell relaxed with PBE
Lines closer than 0.1° are merged.

Peak list (7 most intense, 5 to 70 degrees two-theta, sorted by position)
two_theta, intensity
22.89, 21.3
37.81, 72.2
44.66, 100.0
46.76, 12.3
54.55, 1.4
59.91, 5.5
68.28, 26.0

Cell and atoms:
Cell lengths 4.758, 4.758, 4.758 Å; angles 60.00, 60.00, 60.00 degrees
Positions (direct):
Ta 0.125 0.125 0.125
Ta 0.875 0.875 0.875
Co 0.000 0.500 0.500
Co 0.500 0.000 0.500
Co 0.500 0.500 0.000
Co 0.500 0.500 0.500

[5]
Theoretical powder diffraction line list
Compound: CaCu2N2
Radiation: Cu Ka
Structure: a cell relaxed with PBE
Lines closer than 0.1° are merged.

Peak list (10 most intense, 5 to 70 degrees two-theta, sorted by position)
two_theta, intensity
24.78, 54.5
28.75, 79.7
35.32, 55.9
38.36, 100.0
43.83, 12.5
50.82, 32.8
57.50, 18.7
59.44, 21.7
65.42, 36.6
69.32, 11.2

Cell and atoms:
Cell lengths 3.593, 3.593, 6.197 Å; angles 90.00, 90.00, 90.00 degrees
Positions (direct):
Ca 0.000 0.000 0.000
Cu 0.500 0.500 0.290
Cu 0.500 0.500 0.710
N 0.000 0.500 0.741
N 0.500 0.000 0.259